Record 1
Diffraction record for Li3Cu2Sn2. The powder XRD pattern is computed, not measured: it uses a PBE-relaxed structure and Cu Kα (λ = 1.5418 Å).
Intensities are scaled so that the largest is 100.

Structure:
Cell: 4.312 2.994 9.962 Å, 90.00 102.53 90.00°
Space group P2/m (No. 10)
Symmetry-distinct sites (fractional):
Li 0.000 0.000 0.000 x1
Li 0.286 0.000 0.572 x2
Cu 0.138 0.000 0.275 x2
Sn 0.416 0.500 0.832 x2

Most intense lines, 10° ≤ 2θ ≤ 80°, by angle:
- 2θ 18.25, I = 94, hkl 0 0 2
- 2θ 21.11, I = 29, hkl 1 0 0
- 2θ 27.52, I = 18, hkl 0 0 3
- 2θ 30.96, I = 21, hkl 1 0 2
- 2θ 36.84, I = 100, hkl 1 1 -1
- 2θ 38.55, I = 61, hkl 1 0 3
- 2θ 41.04, I = 39, hkl 0 1 3
- 2θ 41.90, I = 30, hkl 2 0 -1
- 2θ 43.54, I = 50, hkl 1 1 -3
- 2θ 56.23, I = 19, hkl 1 0 5
- 2θ 60.10, I = 25, hkl 2 1 2
- 2θ 77.67, I = 19, hkl 2 2 -1


Record 2
Diffraction record for Li4CuSn. The powder XRD pattern is computed, not measured: it uses a PBE-relaxed structure and Cu Kα (λ = 1.5418 Å).
Intensities are scaled so that the largest is 100.

Structure:
Cell: 5.304 4.569 8.321 Å, 90.00 108.44 90.00°
Space group P2_1/m (No. 11)
Symmetry-distinct sites (fractional):
Li 0.042 0.250 0.086 x2
Li 0.210 0.250 0.418 x2
Li 0.292 0.750 0.582 x2
Li 0.456 0.750 0.914 x2
Cu 0.117 0.250 0.734 x2
Sn 0.372 0.750 0.242 x2

Most intense lines, 10° ≤ 2θ ≤ 80°, by angle:
- 2θ 22.50, I = 100, hkl 0 1 1
- 2θ 33.80, I = 11, hkl 2 0 -1
- 2θ 39.49, I = 32, hkl 0 2 0
- 2θ 40.99, I = 53, hkl 2 1 0
- 2θ 45.92, I = 15, hkl 0 2 2
- 2θ 52.90, I = 12, hkl 2 2 -1
- 2θ 53.02, I = 6, hkl 2 1 -4
- 2θ 58.20, I = 15, hkl 2 2 1
- 2θ 62.10, I = 8, hkl 0 3 1
- 2θ 72.59, I = 12, hkl 2 3 0
- 2θ 72.76, I = 6, hkl 2 2 -5
- 2θ 75.64, I = 6, hkl 4 1 -1


Record 3
Diffraction record for Li5Cu2Sn4. The powder XRD pattern is computed, not measured: it uses a PBE-relaxed structure and Cu Kα (λ = 1.5418 Å).
Intensities are scaled so that the largest is 100.

Structure:
Cell: 7.714 3.117 8.952 Å, 90.00 92.99 90.00°
Space group P2/m (No. 10)
Symmetry-distinct sites (fractional):
Li 0.000 0.000 0.000 x1
Li 0.059 0.000 0.344 x2
Li 0.380 0.000 0.871 x2
Cu 0.423 0.000 0.371 x2
Sn 0.268 0.500 0.592 x2
Sn 0.283 0.500 0.141 x2

Most intense lines, 10° ≤ 2θ ≤ 80°, by angle:
- 2θ 11.49, I = 95, hkl 1 0 0
- 2θ 14.78, I = 42, hkl 1 0 -1
- 2θ 22.47, I = 82, hkl 1 0 -2
- 2θ 23.09, I = 70, hkl 2 0 0
- 2θ 23.53, I = 68, hkl 1 0 2
- 2θ 28.64, I = 32, hkl 0 1 0
- 2θ 36.71, I = 88, hkl 1 1 -2
- 2θ 37.11, I = 100, hkl 2 1 0
- 2θ 37.39, I = 89, hkl 1 1 2
- 2θ 39.55, I = 40, hkl 3 0 -2
- 2θ 40.36, I = 36, hkl 0 0 4
- 2θ 41.46, I = 46, hkl 3 0 2